LaTc2Au: computed powder X-ray diffraction pattern (Cu Kα), based on a DFT-relaxed cell (PBE, Alexandria).
Intensities are scaled so that the largest is 100.

The 10 most intense peaks (5° ≤ 2θ ≤ 70°), in order of rising 2θ:
| Position (°2θ) | I_rel |
| --- | --- |
| 11.2 | 10 |
| 30.6 | 21 |
| 34.1 | 14 |
| 36.6 | 100 |
| 40.6 | 46 |
| 54.0 | 15 |
| 58.7 | 8 |
| 58.8 | 8 |
| 63.0 | 10 |
| 66.2 | 13 |

Cell and atoms:
```
4
Lattice="3.144 0.000 0.000 0.000 3.139 0.000 -0.012 0.000 7.895" Properties=species:S:1:pos:R:3 pbc="T T T"
La 0.000 0.000 0.000
Tc 3.137 0.000 4.280
Tc 1.567 1.569 5.579
Au 1.566 1.569 2.373
```

LaTi2Au: computed powder X-ray diffraction pattern (Cu Kα), based on a DFT-relaxed cell (PBE, Alexandria).
Intensities are scaled so that the largest is 100.

The 9 most intense peaks (5° ≤ 2θ ≤ 70°), in order of rising 2θ:
| Position (°2θ) | I_rel |
| --- | --- |
| 22.8 | 4 |
| 26.3 | 38 |
| 37.6 | 100 |
| 44.4 | 3 |
| 46.5 | 12 |
| 54.2 | 17 |
| 59.6 | 1 |
| 61.3 | 16 |
| 67.9 | 34 |

Cell and atoms:
```
4
Lattice="0.000 3.383 3.383 3.383 0.000 3.383 3.383 3.383 0.000" Properties=species:S:1:pos:R:3 pbc="T T T"
La 0.000 0.000 0.000
Ti 1.691 1.691 1.691
Ti 5.074 5.074 5.074
Au 3.383 3.383 3.383
```

La7Tl2Au2: computed powder X-ray diffraction pattern (Cu Kα), based on a DFT-relaxed cell (PBE, Alexandria).
Intensities are scaled so that the largest is 100.

The 10 most intense peaks (5° ≤ 2θ ≤ 70°), in order of rising 2θ:
| Position (°2θ) | I_rel |
| --- | --- |
| 19.3 | 44 |
| 23.8 | 62 |
| 27.4 | 36 |
| 30.4 | 66 |
| 31.9 | 31 |
| 35.0 | 48 |
| 35.5 | 100 |
| 39.0 | 27 |
| 40.7 | 28 |
| 41.6 | 21 |

Cell and atoms:
```
11
Lattice="4.336 -5.885 0.000 4.336 5.885 0.000 0.000 0.000 7.345" Properties=species:S:1:pos:R:3 pbc="T T T"
La 0.000 0.000 0.000
La 2.168 2.943 2.037
La 2.168 2.943 5.308
La 2.168 -2.943 2.037
La 2.168 -2.943 5.308
La 4.336 0.000 1.895
La 4.336 0.000 5.450
Tl 1.464 0.000 3.673
Tl 7.208 0.000 3.673
Au 4.336 2.553 0.000
Au 4.336 -2.553 0.000
```